This entry pairs a crystal structure of Rb3TeI7 with its theoretical XRD peak list. Radiation: Cu Kα (weighted mean of Kα1 and Kα2). Structure: a structure optimized by DFT (GGA-PBE).

Top 12 peaks for 10° ≤ 2θ ≤ 90°, in order of rising 2θ:
d [Å]  intensity
7.735  43
5.455  27
3.830  63
3.453  36
3.365  100
3.279  62
2.976  42
2.727  23
2.666  29
2.579  23
2.409  49
1.853  27

Lattice parameters (Å, degrees): 7.866 7.866 9.221 98.29 98.29 95.06
Element x y z (fractional)
1 Rb 0.000 0.000 0.000
2 Rb 0.299 0.745 0.446
3 Rb 0.745 0.299 0.446
4 Te 0.548 0.548 0.951
5 I 0.168 0.168 0.391
6 I 0.203 0.582 0.789
7 I 0.377 0.377 0.159
8 I 0.533 0.893 0.136
9 I 0.582 0.203 0.789
10 I 0.716 0.716 0.690
11 I 0.893 0.533 0.136